For EuAlSi, DFT lattice parameters and positions (PBE) gives the theoretical X-ray diffraction stick pattern in this record (Cu Kα, 1.54184 Å).
No peak broadening, texture or thermal motion is included.

Structural model:
a b c (Å): 4.2437 4.2437 4.4783
angles (deg): 90.00 90.00 120.00
Space group P-6m2 (No. 187)
Asymmetric unit:
1 Eu 0.0000 0.0000 0.0000 x1
2 Al 0.6667 0.3333 0.5000 x1
3 Si 0.3333 0.6667 0.5000 x1

Largest 10 diffraction maxima, by angle, 2θ = 10–90°:
2theta, d/Å, intensity, hkl
19.83, 4.478, 13, 0 0 1
24.22, 3.675, 45, 1 0 0
31.49, 2.841, 100, 1 0 1
40.28, 2.239, 11, 0 0 2
42.61, 2.122, 29, 1 1 0
47.55, 1.912, 15, 1 0 2
53.93, 1.700, 22, 2 0 1
60.07, 1.540, 21, 1 1 2
67.75, 1.383, 11, 1 0 3
71.05, 1.327, 19, 2 1 1